(1)
Structure and computed X-ray diffraction stick pattern of Ti3NiSn2P6O24 (a structure optimized by DFT (PBE+U); Cu Kα).
Intensities are scaled so that the largest is 100.

```
Ti3NiSn2P6O24
1.0
4.3090 2.4878 7.5344
-4.3090 2.4878 7.5344
0.0000 -4.9756 7.5344
Ti Ni Sn P O
3 1 2 6 24
Direct
0.0000 0.0000 0.0000 Ti
0.2076 0.2076 0.2076 Ti
0.5076 0.5076 0.5076 Ti
0.7053 0.7053 0.7053 Ni
0.3590 0.3590 0.3590 Sn
0.8415 0.8415 0.8415 Sn
0.1085 0.8175 0.3896 P
0.3202 0.6058 0.8976 P
0.3896 0.1085 0.8175 P
0.6058 0.8976 0.3202 P
0.8175 0.3896 0.1085 P
0.8976 0.3202 0.6058 P
0.0721 0.8496 0.2249 O
0.0775 0.2781 0.4337 O
0.1380 0.7818 0.9189 O
0.1521 0.9804 0.3518 O
0.2249 0.0721 0.8496 O
0.2781 0.4337 0.0775 O
0.2845 0.6333 0.4136 O
0.3518 0.1521 0.9804 O
0.3527 0.5759 0.7242 O
0.4136 0.2845 0.6333 O
0.4337 0.0775 0.2781 O
0.4850 0.6230 0.8817 O
0.5741 0.9366 0.7979 O
0.5759 0.7242 0.3527 O
0.6230 0.8817 0.4850 O
0.6333 0.4136 0.2845 O
0.7242 0.3527 0.5759 O
0.7818 0.9189 0.1380 O
0.7979 0.5741 0.9366 O
0.8496 0.2249 0.0721 O
0.8817 0.4850 0.6230 O
0.9189 0.1380 0.7818 O
0.9366 0.7979 0.5741 O
0.9804 0.3518 0.1521 O
```

Top 10 peaks for 2θ = 10–90°, low angle first:
20.6 deg, intensity 100
23.8 deg, intensity 69
25.1 deg, intensity 27
31.5 deg, intensity 99
32.7 deg, intensity 23
36.1 deg, intensity 36
45.4 deg, intensity 24
48.7 deg, intensity 34
56.5 deg, intensity 25
62.1 deg, intensity 22

(2)
Structure and computed X-ray diffraction stick pattern of BaV6O11 (a structure optimized by DFT (PBE+U); Cu Kα).
Intensities are scaled so that the largest is 100.

```
BaV6O11
1.0
2.9476 -5.1739 0.0000
2.9476 5.1739 0.0000
0.0000 0.0000 13.5521
Ba V O
2 12 22
Direct
0.1650 0.8350 0.5000 Ba
0.8350 0.1650 0.0000 Ba
0.0011 0.9989 0.2492 V
0.0111 0.5101 0.7481 V
0.1686 0.8314 0.9978 V
0.4899 0.9889 0.7481 V
0.4952 0.5048 0.3933 V
0.4972 0.5028 0.1034 V
0.5028 0.4972 0.6034 V
0.5048 0.4952 0.8933 V
0.5101 0.0111 0.2481 V
0.8314 0.1686 0.4978 V
0.9889 0.4899 0.2481 V
0.9989 0.0011 0.7492 V
0.1479 0.3270 0.1704 O
0.1585 0.3376 0.8294 O
0.1684 0.8316 0.8349 O
0.1730 0.8270 0.1678 O
0.2031 0.3467 0.4976 O
0.3270 0.1479 0.6704 O
0.3280 0.6720 0.6660 O
0.3372 0.6628 0.3304 O
0.3376 0.1585 0.3294 O
0.3467 0.2031 0.9976 O
0.3552 0.6448 0.9961 O
0.6448 0.3552 0.4961 O
0.6533 0.7969 0.4976 O
0.6624 0.8415 0.8294 O
0.6628 0.3372 0.8304 O
0.6720 0.3280 0.1660 O
0.6730 0.8521 0.1704 O
0.7969 0.6533 0.9976 O
0.8270 0.1730 0.6678 O
0.8316 0.1684 0.3349 O
0.8415 0.6624 0.3294 O
0.8521 0.6730 0.6704 O
```

Top 10 peaks for 2θ = 10–90°, low angle first:
26.3 deg, intensity 40
30.0 deg, intensity 41
31.6 deg, intensity 100
32.9 deg, intensity 79
33.1 deg, intensity 39
37.5 deg, intensity 45
40.5 deg, intensity 38
53.9 deg, intensity 23
54.2 deg, intensity 69
62.4 deg, intensity 31

(3)
Structure and computed X-ray diffraction stick pattern of Li3Mn4B4O12 (a structure optimized by DFT (PBE+U); Cu Kα).
Intensities are scaled so that the largest is 100.

```
Li3Mn4B4O12
1.0
6.1732 0.0000 0.0000
2.0369 8.8195 0.0000
1.0766 1.0594 9.2180
Li Mn B O
6 8 8 24
Direct
0.0806 0.2797 0.2377 Li
0.1758 0.2180 0.5081 Li
0.3336 0.7826 0.0025 Li
0.6664 0.2174 0.9975 Li
0.8242 0.7820 0.4919 Li
0.9194 0.7203 0.7623 Li
0.0205 0.9422 0.2281 Mn
0.2350 0.5547 0.5176 Mn
0.2735 0.4490 0.9662 Mn
0.4808 0.0370 0.2702 Mn
0.5192 0.9630 0.7298 Mn
0.7265 0.5510 0.0338 Mn
0.7650 0.4453 0.4824 Mn
0.9795 0.0578 0.7719 Mn
0.0334 0.6138 0.2259 B
0.2015 0.8893 0.5241 B
0.2698 0.1152 0.9786 B
0.4703 0.3728 0.2734 B
0.5297 0.6272 0.7266 B
0.7302 0.8848 0.0214 B
0.7985 0.1107 0.4759 B
0.9666 0.3862 0.7741 B
0.0235 0.4918 0.1508 O
0.0338 0.3948 0.6241 O
0.1095 0.7359 0.1529 O
0.1089 0.7700 0.5904 O
0.1942 0.1042 0.1253 O
0.2299 0.0043 0.6030 O
0.2509 0.9972 0.8977 O
0.2586 0.9061 0.3754 O
0.3639 0.2576 0.3340 O
0.3794 0.2256 0.9168 O
0.4528 0.6147 0.8735 O
0.4918 0.4818 0.3607 O
0.5082 0.5182 0.6393 O
0.5472 0.3853 0.1265 O
0.6206 0.7744 0.0832 O
0.6361 0.7424 0.6660 O
0.7414 0.0939 0.6246 O
0.7491 0.0028 0.1023 O
0.7701 0.9957 0.3970 O
0.8058 0.8958 0.8747 O
0.8911 0.2300 0.4096 O
0.8905 0.2641 0.8471 O
0.9662 0.6052 0.3759 O
0.9765 0.5082 0.8492 O
```

Top 10 peaks for 2θ = 10–90°, low angle first:
20.3 deg, intensity 98
20.7 deg, intensity 28
22.0 deg, intensity 52
22.8 deg, intensity 80
33.9 deg, intensity 32
34.0 deg, intensity 37
34.2 deg, intensity 100
39.8 deg, intensity 29
40.6 deg, intensity 40
51.3 deg, intensity 29